No. 1
The following is a computed powder XRD pattern of NaCaAlSi2O7. It was derived from a cell relaxed with PBE, using Cu Kα.

Cell and atoms:
Lattice parameters (Å, degrees): 7.759 7.759 12.720 90.00 90.00 90.00
Atoms (fractional coordinates):
Na1 0.133 0.367 0.313
Na2 0.367 0.867 0.687
Na3 0.633 0.133 0.687
Na4 0.867 0.633 0.313
Ca1 0.154 0.346 0.788
Ca2 0.346 0.846 0.212
Ca3 0.654 0.154 0.212
Ca4 0.846 0.654 0.788
Al1 0.000 0.000 0.000
Al2 0.000 0.000 0.500
Al3 0.500 0.500 0.000
Al4 0.500 0.500 0.500
Si1 0.136 0.636 0.107
Si2 0.139 0.639 0.607
Si3 0.361 0.139 0.393
Si4 0.364 0.136 0.893
Si5 0.636 0.864 0.893
Si6 0.639 0.861 0.393
Si7 0.861 0.361 0.607
Si8 0.864 0.364 0.107
O1 0.000 0.500 0.049
O2 0.000 0.500 0.553
O3 0.093 0.836 0.576
O4 0.102 0.838 0.075
O5 0.126 0.626 0.736
O6 0.135 0.635 0.235
O7 0.162 0.102 0.925
O8 0.164 0.093 0.424
O9 0.336 0.593 0.576
O10 0.338 0.602 0.075
O11 0.365 0.135 0.765
O12 0.374 0.126 0.264
O13 0.398 0.338 0.925
O14 0.407 0.336 0.424
O15 0.500 0.000 0.447
O16 0.500 0.000 0.951
O17 0.593 0.664 0.424
O18 0.602 0.662 0.925
O19 0.626 0.874 0.264
O20 0.635 0.865 0.765
O21 0.662 0.398 0.075
O22 0.664 0.407 0.576
O23 0.836 0.907 0.424
O24 0.838 0.898 0.925
O25 0.865 0.365 0.235
O26 0.874 0.374 0.736
O27 0.898 0.162 0.075
O28 0.907 0.164 0.576

Peak list (6 most intense, 10° ≤ 2θ ≤ 90°, sorted by position)
2theta, Rel. int.
18.0, 20
21.4, 100
26.9, 14
30.4, 17
39.4, 18
43.6, 12

***

No. 2
The following is a computed powder XRD pattern of La2B4O9. It was derived from a cell relaxed with PBE, using Cu Kα.

Cell and atoms:
Lattice parameters (Å, degrees): 6.394 6.742 7.763 101.60 96.62 102.41
Atoms (fractional coordinates):
La1 0.044 0.093 0.282
La2 0.386 0.678 0.356
La3 0.614 0.322 0.644
La4 0.956 0.907 0.718
B1 0.128 0.359 0.658
B2 0.162 0.672 0.924
B3 0.226 0.337 0.981
B4 0.495 0.155 0.182
B5 0.505 0.845 0.818
B6 0.774 0.663 0.019
B7 0.838 0.328 0.076
B8 0.872 0.641 0.342
O1 0.005 0.775 0.012
O2 0.048 0.536 0.751
O3 0.069 0.809 0.434
O4 0.257 0.269 0.795
O5 0.269 0.563 0.035
O6 0.276 0.407 0.531
O7 0.315 0.854 0.885
O8 0.358 0.278 0.132
O9 0.439 0.056 0.316
O10 0.561 0.944 0.684
O11 0.642 0.722 0.868
O12 0.685 0.146 0.115
O13 0.724 0.593 0.469
O14 0.731 0.437 0.965
O15 0.743 0.731 0.205
O16 0.931 0.191 0.566
O17 0.952 0.464 0.249
O18 0.995 0.225 0.988

Peak list (6 most intense, 10° ≤ 2θ ≤ 90°, sorted by position)
2theta, Rel. int.
17.1, 41
22.3, 42
27.6, 58
27.9, 48
28.9, 100
30.3, 47

***

No. 3
The following is a computed powder XRD pattern of EuRe2. It was derived from a cell relaxed with PBE, using Cu Kα.

Cell and atoms:
Lattice parameters (Å, degrees): 5.496 5.496 8.830 90.00 90.00 120.00
Atoms (fractional coordinates):
Eu1 0.333 0.667 0.062
Eu2 0.333 0.667 0.438
Eu3 0.667 0.333 0.562
Eu4 0.667 0.333 0.938
Re1 0.000 0.000 0.000
Re2 0.000 0.000 0.500
Re3 0.171 0.342 0.750
Re4 0.171 0.829 0.750
Re5 0.342 0.171 0.250
Re6 0.658 0.829 0.750
Re7 0.829 0.171 0.250
Re8 0.829 0.658 0.250

Peak list (6 most intense, 10° ≤ 2θ ≤ 90°, sorted by position)
2theta, Rel. int.
35.9, 61
38.6, 100
39.2, 94
43.2, 26
65.9, 32
68.3, 30